Theoretical powder XRD pattern
Compound: FeAgTe2
Radiation: Cu Kα (λ = 1.5418 Å)
Structure: the PBE geometry in the Materials Project
Peak positions follow from Bragg's law for the DFT cell and can differ from measured ones.

Atomic structure:
```
data_FeAgTe2
_symmetry_space_group_name_H-M 'P m n 21'
_symmetry_Int_Tables_number 31
_symmetry_space_group_name_Hall 'P 2ac -2'
_cell_length_a 3.9854
_cell_length_b 11.2098
_cell_length_c 8.2181
_cell_angle_alpha 90.00
_cell_angle_beta 90.00
_cell_angle_gamma 90.00
loop_
_atom_site_label
_atom_site_fract_x
_atom_site_fract_y
_atom_site_fract_z
_atom_site_occupancy
Fe1 0.0000 0.1587 0.0000 1
Fe2 0.0000 0.6883 0.9751 1
Ag1 0.0000 0.4174 0.9486 1
Ag2 0.0000 0.9821 0.6360 1
Te1 0.0000 0.2937 0.2614 1
Te2 0.0000 0.4260 0.6021 1
Te3 0.0000 0.7726 0.3271 1
Te4 0.0000 0.9144 0.9511 1
```

Peak list (10 most intense, 10 to 80 degrees two-theta, by angle)
(0 2 2), 2θ 26.90, rel. 47
(1 2 0), 2θ 27.46, rel. 50
(1 2 1), 2θ 29.57, rel. 100
(0 4 1), 2θ 33.79, rel. 43
(0 2 3), 2θ 36.51, rel. 25
(1 0 3), 2θ 39.94, rel. 93
(1 4 1), 2θ 40.85, rel. 30
(1 4 2), 2θ 45.30, rel. 45
(2 0 0), 2θ 45.52, rel. 39
(2 4 1), 2θ 57.87, rel. 20